No. 1
This entry pairs a crystal structure of Li2VF4 with its computed powder diffractogram. Radiation: copper Kα. Structure: DFT lattice parameters and positions (PBE+U).
No peak broadening, texture or thermal motion is included.

Main lines, sorted by position (10 to 80 degrees two-theta):
- hkl 0 1 1, 2θ = 16.8°, I = 48
- hkl 0 0 2, 2θ = 17.6°, I = 100
- hkl 1 1 0, 2θ = 23.1°, I = 26
- hkl 1 1 -2, 2θ = 24.2°, I = 29
- hkl 1 2 1, 2θ = 37.3°, I = 80
- hkl 2 0 -4, 2θ = 39.4°, I = 40
- hkl 1 2 3, 2θ = 48.5°, I = 37
- hkl 2 0 -6, 2θ = 51.9°, I = 16
- hkl 0 4 0, 2θ = 59.7°, I = 35
- hkl 2 0 4, 2θ = 62.8°, I = 14

Crystal structure
abc: 5.3822 6.1920 11.0408
angles: 90.00 114.20 90.00
Sites, in units of the cell vectors:
Li 0.0910 0.0661 0.2759
Li 0.0910 0.4339 0.7759
Li 0.2987 0.1131 0.5517
Li 0.2987 0.3869 0.0517
Li 0.7013 0.6131 0.9483
Li 0.7013 0.8869 0.4483
Li 0.9090 0.5661 0.2241
Li 0.9090 0.9339 0.7241
V 0.2667 0.6340 0.5123
V 0.2667 0.8660 0.0123
V 0.7333 0.1340 0.9877
V 0.7333 0.3660 0.4877
F 0.0030 0.6219 0.8926
F 0.0030 0.8781 0.3926
F 0.0093 0.6065 0.6164
F 0.0093 0.8935 0.1164
F 0.4561 0.1230 0.3859
F 0.4561 0.3770 0.8859
F 0.4828 0.6290 0.3908
F 0.4828 0.8710 0.8908
F 0.5172 0.1290 0.1092
F 0.5172 0.3710 0.6092
F 0.5439 0.6230 0.1141
F 0.5439 0.8770 0.6141
F 0.9907 0.1065 0.8836
F 0.9907 0.3935 0.3836
F 0.9970 0.1219 0.6074
F 0.9970 0.3781 0.1074

No. 2
This entry pairs a crystal structure of Li4V2F9 with its computed powder diffractogram. Radiation: copper Kα. Structure: DFT lattice parameters and positions (PBE+U).
No peak broadening, texture or thermal motion is included.

Main lines, sorted by position (10 to 80 degrees two-theta):
- hkl 1 0 0, 2θ = 19.8°, I = 100
- hkl 1 0 2, 2θ = 23.6°, I = 29
- hkl 0 1 4, 2θ = 32.6°, I = 37
- hkl 1 1 3, 2θ = 39.9°, I = 79
- hkl 1 1 4, 2θ = 43.6°, I = 13
- hkl 1 0 6, 2θ = 43.9°, I = 15
- hkl 2 0 4, 2θ = 48.3°, I = 18
- hkl 1 1 6, 2θ = 53.0°, I = 48
- hkl 1 2 4, 2θ = 60.8°, I = 14
- hkl 3 0 0, 2θ = 62.2°, I = 31

Crystal structure
abc: 5.1718 5.1718 13.9374
angles: 90.00 90.00 120.00
Sites, in units of the cell vectors:
Li 0.3333 0.6667 0.1784
Li 0.3333 0.6667 0.4811
Li 0.3333 0.6667 0.6784
Li 0.3333 0.6667 0.9811
Li 0.6667 0.3333 0.0189
Li 0.6667 0.3333 0.3216
Li 0.6667 0.3333 0.5189
Li 0.6667 0.3333 0.8216
V 0.0000 0.0000 0.1517
V 0.0000 0.0000 0.3483
V 0.0000 0.0000 0.6517
V 0.0000 0.0000 0.8483
F 0.0000 0.3110 0.2500
F 0.0000 0.6890 0.7500
F 0.0235 0.3515 0.5846
F 0.0235 0.6720 0.0846
F 0.3110 0.0000 0.2500
F 0.3110 0.3110 0.7500
F 0.3280 0.3515 0.0846
F 0.3280 0.9765 0.5846
F 0.3515 0.0235 0.9154
F 0.3515 0.3280 0.4154
F 0.6485 0.6720 0.5846
F 0.6485 0.9765 0.0846
F 0.6720 0.0235 0.4154
F 0.6720 0.6485 0.9154
F 0.6890 0.0000 0.7500
F 0.6890 0.6890 0.2500
F 0.9765 0.3280 0.9154
F 0.9765 0.6485 0.4154